Calculated powder diffractogram
Compound: LiCeS2O9
Radiation: Cu Kα X-rays
Structure: a cell relaxed with GGA-PBE

Main lines, in order of rising 2θ (10 to 80 degrees two-theta):
2θ 10.92, I 100, (1 0 0)
2θ 15.64, I 35, (1 0 2)
2θ 22.92, I 21, (1 1 1)
2θ 25.70, I 75, (1 1 -3)
2θ 27.42, I 32, (1 1 3)
2θ 29.54, I 20, (0 0 6)

Atomic structure:
```
data_LiCeS2O9
_chemical_formula_sum 'Li4 Ce4 S8 O36'
_cell_length_a 8.183
_cell_length_b 4.648
_cell_length_c 18.319
_cell_angle_alpha 90.00
_cell_angle_beta 97.95
_cell_angle_gamma 90.00
_symmetry_space_group_name_H-M 'P 1 21/c 1'
_symmetry_Int_Tables_number 14
loop_
_symmetry_equiv_pos_as_xyz
'x,y,z'
'-x,-y,-z'
'-x,y+1/2,-z+1/2'
'x,-y+1/2,z+1/2'
loop_
_atom_site_label
_atom_site_type_symbol
_atom_site_fract_x
_atom_site_fract_y
_atom_site_fract_z
Li1 Li 0.114 0.068 0.294
Ce1 Ce 0.383 0.513 0.601
S1 S 0.275 0.552 0.236
S2 S 0.291 0.034 0.447
O1 O 0.110 0.063 0.744
O2 O 0.133 0.071 0.401
O3 O 0.136 0.063 0.082
O4 O 0.270 0.629 0.731
O5 O 0.272 0.622 0.017
O6 O 0.328 0.049 0.664
O7 O 0.369 0.176 0.970
O8 O 0.395 0.052 0.798
O9 O 0.413 0.614 0.907
```

Calculated powder diffractogram
Compound: Li2CeP2
Radiation: Cu Kα X-rays
Structure: a cell relaxed with GGA-PBE

Main lines, in order of rising 2θ (10 to 80 degrees two-theta):
2θ 13.34, I 86, (0 0 1)
2θ 24.73, I 33, (1 0 0)
2θ 28.20, I 100, (0 1 1)
2θ 36.84, I 65, (0 1 2)
2θ 43.54, I 31, (1 1 0)
2θ 48.29, I 25, (1 0 3)

Atomic structure:
```
data_Li2CeP2
_chemical_formula_sum 'Li2 Ce1 P2'
_cell_length_a 4.1568
_cell_length_b 4.1568
_cell_length_c 6.6365
_cell_angle_alpha 90.00
_cell_angle_beta 90.00
_cell_angle_gamma 120.00
_symmetry_space_group_name_H-M 'P -3 m 1'
_symmetry_Int_Tables_number 164
_symmetry_space_group_name_Hall '-P 3 2"'
loop_
_atom_site_label
_atom_site_type_symbol
_atom_site_fract_x
_atom_site_fract_y
_atom_site_fract_z
Li1 Li 0.3333 0.6667 0.1223
Ce1 Ce 0.0000 0.0000 0.5000
P1 P 0.3333 0.6667 0.7309
```